Record 1
# K3Pd2O4
Computed X-ray diffraction stick pattern, λ = 1.5418 Å (Cu Kα). Input: a cell relaxed with PBE.
Lines closer than 0.1° are merged.

The 10 most intense peaks (2θ = 10–90°), low angle first:
| 2θ/deg | I/Imax |
| --- | --- |
| 17.12 | 100 |
| 19.04 | 35 |
| 20.55 | 34 |
| 28.67 | 43 |
| 32.19 | 44 |
| 33.14 | 38 |
| 35.58 | 47 |
| 42.05 | 37 |
| 42.70 | 33 |
| 53.71 | 24 |

Crystal structure
```
K3Pd2O4
1.0
3.114 -4.662 0.000
3.114 4.662 0.000
0.000 0.000 11.555
K Pd O
6 4 8
Direct
0.149 0.851 0.568
0.149 0.851 0.932
0.210 0.790 0.250
0.790 0.210 0.750
0.851 0.149 0.068
0.851 0.149 0.432
0.425 0.575 0.750
0.500 0.500 0.000
0.500 0.500 0.500
0.575 0.425 0.250
0.209 0.366 0.616
0.209 0.366 0.884
0.366 0.209 0.116
0.366 0.209 0.384
0.634 0.791 0.616
0.634 0.791 0.884
0.791 0.634 0.116
0.791 0.634 0.384
```



Record 2
# K2PdO4
Computed X-ray diffraction stick pattern, λ = 1.5418 Å (Cu Kα). Input: a cell relaxed with PBE.
Lines closer than 0.1° are merged.

The 10 most intense peaks (2θ = 10–90°), low angle first:
| 2θ/deg | I/Imax |
| --- | --- |
| 17.36 | 63 |
| 17.76 | 62 |
| 18.26 | 54 |
| 25.77 | 100 |
| 26.38 | 90 |
| 27.41 | 71 |
| 27.72 | 68 |
| 35.59 | 55 |
| 36.85 | 52 |
| 40.34 | 44 |

Crystal structure
```
K2PdO4
1.0
5.336 0.000 0.000
0.333 6.917 0.000
2.108 0.193 7.020
K Pd O
4 2 8
Direct
0.000 0.000 0.000
0.011 0.379 0.498
0.649 0.499 0.165
0.668 0.873 0.672
0.328 0.439 0.831
0.343 0.948 0.340
0.040 0.614 0.838
0.085 0.766 0.333
0.166 0.001 0.597
0.175 0.366 0.090
0.477 0.871 0.080
0.494 0.510 0.574
0.615 0.117 0.319
0.616 0.262 0.827
```